No. 1
For Fe3Cu2S10, a PBE-relaxed structure gives the theoretical X-ray diffraction stick pattern in this record (Cu Kα, 1.54184 Å).
Kinematic intensities with the Lorentz-polarization factor, no thermal factor.

Cell and atoms:
Cell: 5.5523 5.5652 27.8484 Å, 89.81 89.87 89.92°
Fractional coordinates of all 60 atoms:
Fe  0.0000  0.0000  0.0000
Fe  0.9998  0.0007  0.3995
Fe  0.9997  0.5006  0.0986
Fe  0.4926  0.4995  0.3992
Fe  0.4956  0.5059  0.5988
Fe  0.4973  0.5053  0.0002
Fe  0.4975  0.5078  0.7980
Fe  0.5012  0.0036  0.3009
Fe  0.5036  0.5104  0.2004
Fe  0.9949  0.0136  0.7985
Fe  0.9950  0.5151  0.6993
Fe  0.9958  0.4967  0.4983
Cu  0.4950  0.0006  0.4976
Cu  0.4954  0.0077  0.0991
Cu  0.4968  0.0092  0.6999
Cu  0.4976  0.0065  0.8991
Cu  0.9951  0.0129  0.1993
Cu  0.9958  0.0059  0.5987
Cu  0.9975  0.5061  0.8991
Cu  0.9989  0.5131  0.3011
S  0.0869  0.1264  0.7221
S  0.0952  0.1064  0.9238
S  0.0969  0.1249  0.5187
S  0.1018  0.1287  0.1198
S  0.1107  0.6239  0.7757
S  0.1130  0.0992  0.3239
S  0.1152  0.5991  0.5742
S  0.1172  0.6005  0.1753
S  0.1176  0.6242  0.3802
S  0.1220  0.6263  0.9803
S  0.3730  0.1293  0.8172
S  0.3728  0.6030  0.6746
S  0.3750  0.1223  0.4188
S  0.3799  0.5962  0.4751
S  0.3809  0.1235  0.0184
S  0.3824  0.5988  0.0758
S  0.3954  0.1270  0.6187
S  0.3978  0.6073  0.8745
S  0.4025  0.6245  0.2761
S  0.4054  0.1235  0.2243
S  0.5918  0.3841  0.3242
S  0.5957  0.8844  0.5789
S  0.5969  0.4057  0.9238
S  0.5983  0.8841  0.1795
S  0.6114  0.4159  0.7223
S  0.6116  0.8868  0.3772
S  0.6137  0.8899  0.7798
S  0.6182  0.4083  0.5230
S  0.6196  0.4114  0.1234
S  0.6217  0.8838  0.9812
S  0.8727  0.3868  0.8179
S  0.8761  0.4127  0.6233
S  0.8759  0.9110  0.2796
S  0.8779  0.4114  0.2207
S  0.8794  0.3870  0.4220
S  0.8842  0.3894  0.0225
S  0.8926  0.8865  0.6787
S  0.8996  0.9061  0.8744
S  0.9027  0.8849  0.4753
S  0.9077  0.8881  0.0763

Principal peaks in the range 2θ from 10° to 80°, by angle:
- 2θ = 27.8°, I 43
- 2θ = 32.2°, I 100
- 2θ = 32.2°, I 50
- 2θ = 36.1°, I 45
- 2θ = 39.7°, I 30
- 2θ = 46.2°, I 51
- 2θ = 54.7°, I 46
- 2θ = 54.8°, I 61


No. 2
For CsRb2InF6, a PBE-relaxed structure gives the theoretical X-ray diffraction stick pattern in this record (Cu Kα, 1.54184 Å).
Kinematic intensities with the Lorentz-polarization factor, no thermal factor.

Cell and atoms:
Cell: 6.9289 6.9289 6.9289 Å, 60.00 60.00 60.00°
Fractional coordinates of all 10 atoms:
Cs  0.0000  0.0000  0.0000
Rb  0.2500  0.2500  0.2500
Rb  0.7500  0.7500  0.7500
In  0.5000  0.5000  0.5000
F  0.2849  0.2849  0.7151
F  0.2849  0.7151  0.2849
F  0.2849  0.7151  0.7151
F  0.7151  0.2849  0.2849
F  0.7151  0.2849  0.7151
F  0.7151  0.7151  0.2849

Principal peaks in the range 2θ from 10° to 80°, by angle:
- 2θ = 18.1°, I 11
- 2θ = 25.7°, I 100
- 2θ = 36.7°, I 36
- 2θ = 45.3°, I 40
- 2θ = 52.9°, I 22
- 2θ = 59.7°, I 21
- 2θ = 66.1°, I 7
- 2θ = 72.1°, I 23


No. 3
For TmAg3, a PBE-relaxed structure gives the theoretical X-ray diffraction stick pattern in this record (Cu Kα, 1.54184 Å).
Kinematic intensities with the Lorentz-polarization factor, no thermal factor.

Cell and atoms:
Cell: 4.3657 4.3657 4.3657 Å, 90.00 90.00 90.00°
Fractional coordinates of all 4 atoms:
Tm  0.0000  0.0000  0.0000
Ag  0.0000  0.5000  0.5000
Ag  0.5000  0.0000  0.5000
Ag  0.5000  0.5000  0.0000

Principal peaks in the range 2θ from 10° to 80°, by angle:
- 2θ = 20.3°, I 3
- 2θ = 28.9°, I 3
- 2θ = 35.6°, I 100
- 2θ = 41.4°, I 49
- 2θ = 46.5°, I 2
- 2θ = 59.9°, I 32
- 2θ = 71.7°, I 37
- 2θ = 75.4°, I 11


No. 4
For Eu2H6Ir, a PBE-relaxed structure gives the theoretical X-ray diffraction stick pattern in this record (Cu Kα, 1.54184 Å).
Kinematic intensities with the Lorentz-polarization factor, no thermal factor.

Cell and atoms:
Cell: 5.3406 5.3406 5.3406 Å, 60.00 60.00 60.00°
Fractional coordinates of all 9 atoms:
Eu  0.2500  0.2500  0.2500
Eu  0.7500  0.7500  0.7500
H  0.2284  0.2284  0.7716
H  0.2284  0.7716  0.2284
H  0.2284  0.7716  0.7716
H  0.7716  0.2284  0.2284
H  0.7716  0.2284  0.7716
H  0.7716  0.7716  0.2284
Ir  0.0000  0.0000  0.0000

Principal peaks in the range 2θ from 10° to 80°, by angle:
- 2θ = 20.4°, I 34
- 2θ = 23.6°, I 6
- 2θ = 33.6°, I 100
- 2θ = 39.6°, I 19
- 2θ = 48.2°, I 19
- 2θ = 52.8°, I 8
- 2θ = 60.0°, I 38
- 2θ = 70.5°, I 12


No. 5
For ZnSn2O4, a PBE-relaxed structure gives the theoretical X-ray diffraction stick pattern in this record (Cu Kα, 1.54184 Å).
Kinematic intensities with the Lorentz-polarization factor, no thermal factor.

Cell and atoms:
Cell: 6.4008 6.4008 17.1952 Å, 91.10 91.10 59.82°
Fractional coordinates of all 42 atoms:
Zn  0.0000  0.0000  0.0000
Zn  0.1687  0.1687  0.8377
Zn  0.3339  0.3339  0.6715
Zn  0.4894  0.4894  0.1186
Zn  0.5008  0.5008  0.5072
Zn  0.6743  0.6743  0.3469
Sn  0.1677  0.1677  0.4630
Sn  0.1777  0.1777  0.2208
Sn  0.1786  0.6690  0.3405
Sn  0.3334  0.8339  0.6718
Sn  0.4911  0.9991  0.0051
Sn  0.5004  0.5004  0.8781
Sn  0.6690  0.1786  0.3405
Sn  0.8302  0.8302  0.7985
Sn  0.8339  0.3334  0.6718
Sn  0.8351  0.8351  0.1671
Sn  0.8372  0.8372  0.5449
Sn  0.9992  0.4911  0.0051
O  0.0001  0.5141  0.2831
O  0.0008  0.0008  0.2777
O  0.0068  0.4649  0.7474
O  0.0146  0.0146  0.7416
O  0.1495  0.6546  0.0793
O  0.1598  0.1598  0.0606
O  0.1645  0.1645  0.6135
O  0.2046  0.6610  0.5959
O  0.3137  0.3137  0.9338
O  0.3276  0.8707  0.9248
O  0.3549  0.7940  0.4156
O  0.3607  0.3607  0.4141
O  0.4649  0.0068  0.7474
O  0.4884  0.4884  0.2665
O  0.5032  0.5032  0.7309
O  0.5141  0.0001  0.2831
O  0.6503  0.6503  0.6025
O  0.6546  0.1495  0.0793
O  0.6610  0.2046  0.5959
O  0.6642  0.6642  0.0739
O  0.7940  0.3549  0.4156
O  0.8296  0.8296  0.9541
O  0.8520  0.8520  0.4015
O  0.8707  0.3276  0.9248

Principal peaks in the range 2θ from 10° to 80°, by angle:
- 2θ = 27.9°, I 51
- 2θ = 30.5°, I 60
- 2θ = 30.9°, I 52
- 2θ = 31.8°, I 52
- 2θ = 32.1°, I 82
- 2θ = 32.8°, I 100
- 2θ = 54.3°, I 54
- 2θ = 57.6°, I 49


No. 6
For NdMgAg, a PBE-relaxed structure gives the theoretical X-ray diffraction stick pattern in this record (Cu Kα, 1.54184 Å).
Kinematic intensities with the Lorentz-polarization factor, no thermal factor.

Cell and atoms:
Cell: 7.8561 7.8561 4.2674 Å, 90.00 90.00 120.00°
Fractional coordinates of all 9 atoms:
Nd  0.0000  0.5874  0.0000
Nd  0.4126  0.4126  0.0000
Nd  0.5874  0.0000  0.0000
Mg  0.0000  0.2440  0.5000
Mg  0.2440  0.0000  0.5000
Mg  0.7560  0.7560  0.5000
Ag  0.0000  0.0000  0.0000
Ag  0.3333  0.6667  0.5000
Ag  0.6667  0.3333  0.5000

Principal peaks in the range 2θ from 10° to 80°, by angle:
- 2θ = 22.6°, I 35
- 2θ = 30.9°, I 82
- 2θ = 33.7°, I 100
- 2θ = 39.7°, I 31
- 2θ = 41.0°, I 26
- 2θ = 42.4°, I 23
- 2θ = 53.1°, I 23
- 2θ = 63.5°, I 24


No. 7
For BaTbEuBiO6, a PBE-relaxed structure gives the theoretical X-ray diffraction stick pattern in this record (Cu Kα, 1.54184 Å).
Kinematic intensities with the Lorentz-polarization factor, no thermal factor.

Cell and atoms:
Cell: 8.6871 8.7018 8.7781 Å, 90.00 90.00 90.00°
Fractional coordinates of all 40 atoms:
Ba  0.0000  0.0000  0.0000
Ba  0.0000  0.0000  0.5000
Ba  0.5000  0.0000  0.0000
Ba  0.5000  0.5000  0.5000
Tb  0.2495  0.2506  0.2503
Tb  0.2495  0.7494  0.7497
Tb  0.7505  0.2506  0.7497
Tb  0.7505  0.7494  0.2503
Eu  0.0000  0.5000  0.0000
Eu  0.0000  0.5000  0.5000
Eu  0.5000  0.0000  0.5000
Eu  0.5000  0.5000  0.0000
Bi  0.2496  0.2509  0.7497
Bi  0.2496  0.7491  0.2503
Bi  0.7504  0.2509  0.2503
Bi  0.7504  0.7491  0.7497
O  0.0042  0.2136  0.7172
O  0.0042  0.7864  0.2828
O  0.2048  0.2917  0.9956
O  0.2048  0.7083  0.0044
O  0.2084  0.4957  0.7038
O  0.2084  0.5043  0.2962
O  0.2829  0.0042  0.7869
O  0.2829  0.9958  0.2131
O  0.2975  0.2101  0.5044
O  0.2975  0.7899  0.4956
O  0.4957  0.2974  0.7907
O  0.4957  0.7026  0.2093
O  0.5043  0.2974  0.2093
O  0.5043  0.7026  0.7907
O  0.7025  0.2101  0.4956
O  0.7025  0.7899  0.5044
O  0.7171  0.0042  0.2131
O  0.7171  0.9958  0.7869
O  0.7916  0.4957  0.2962
O  0.7916  0.5043  0.7038
O  0.7952  0.2917  0.0044
O  0.7952  0.7083  0.9956
O  0.9958  0.2136  0.2828
O  0.9958  0.7864  0.7172

Principal peaks in the range 2θ from 10° to 80°, by angle:
- 2θ = 28.9°, I 100
- 2θ = 29.0°, I 49
- 2θ = 41.1°, I 13
- 2θ = 41.5°, I 25
- 2θ = 51.1°, I 23
- 2θ = 51.4°, I 45
- 2θ = 59.9°, I 16
- 2θ = 67.6°, I 9


No. 8
For BeSiIr2, a PBE-relaxed structure gives the theoretical X-ray diffraction stick pattern in this record (Cu Kα, 1.54184 Å).
Kinematic intensities with the Lorentz-polarization factor, no thermal factor.

Cell and atoms:
Cell: 4.0920 4.0920 4.0920 Å, 60.00 60.00 60.00°
Fractional coordinates of all 4 atoms:
Be  0.0000  0.0000  0.0000
Si  0.5000  0.5000  0.5000
Ir  0.2500  0.2500  0.2500
Ir  0.7500  0.7500  0.7500

Principal peaks in the range 2θ from 10° to 80°, by angle:
- 2θ = 26.7°, I 1
- 2θ = 30.9°, I 91
- 2θ = 44.3°, I 100
- 2θ = 55.0°, I 25
- 2θ = 64.4°, I 17
- 2θ = 73.1°, I 32


No. 9
For Cs2NaSrF6, a PBE-relaxed structure gives the theoretical X-ray diffraction stick pattern in this record (Cu Kα, 1.54184 Å).
Kinematic intensities with the Lorentz-polarization factor, no thermal factor.

Cell and atoms:
Cell: 6.6741 6.6741 6.6741 Å, 60.00 60.00 60.00°
Fractional coordinates of all 10 atoms:
Cs  0.2500  0.2500  0.2500
Cs  0.7500  0.7500  0.7500
Na  0.0000  0.0000  0.0000
Sr  0.5000  0.5000  0.5000
F  0.2455  0.2455  0.7545
F  0.2455  0.7545  0.2455
F  0.2455  0.7545  0.7545
F  0.7545  0.2455  0.2455
F  0.7545  0.2455  0.7545
F  0.7545  0.7545  0.2455

Principal peaks in the range 2θ from 10° to 80°, by angle:
- 2θ = 18.8°, I 12
- 2θ = 26.7°, I 100
- 2θ = 32.9°, I 25
- 2θ = 38.1°, I 42
- 2θ = 47.2°, I 42
- 2θ = 55.0°, I 27
- 2θ = 62.2°, I 19
- 2θ = 75.4°, I 22


No. 10
For NdEr3Fe34, a PBE-relaxed structure gives the theoretical X-ray diffraction stick pattern in this record (Cu Kα, 1.54184 Å).
Kinematic intensities with the Lorentz-polarization factor, no thermal factor.

Cell and atoms:
Cell: 8.4979 8.4979 8.2425 Å, 90.00 90.00 120.00°
Fractional coordinates of all 38 atoms:
Nd  0.0000  0.0000  0.0000
Er  0.3333  0.6667  0.0000
Er  0.3333  0.6667  0.5000
Er  0.6667  0.3333  0.5000
Fe  0.0000  0.0000  0.3574
Fe  0.0000  0.0000  0.6426
Fe  0.0015  0.5008  0.2673
Fe  0.0015  0.5008  0.7327
Fe  0.0046  0.2978  0.5000
Fe  0.0046  0.7068  0.5000
Fe  0.1683  0.3366  0.2347
Fe  0.1683  0.3366  0.7653
Fe  0.1683  0.8317  0.2347
Fe  0.1683  0.8317  0.7653
Fe  0.2932  0.2978  0.5000
Fe  0.2932  0.9954  0.5000
Fe  0.3349  0.1675  0.2512
Fe  0.3349  0.1675  0.7488
Fe  0.3754  0.0363  0.0000
Fe  0.3754  0.3391  0.0000
Fe  0.4992  0.5008  0.2673
Fe  0.4992  0.5008  0.7327
Fe  0.4992  0.9985  0.2673
Fe  0.4992  0.9985  0.7327
Fe  0.6609  0.0363  0.0000
Fe  0.6609  0.6246  0.0000
Fe  0.6634  0.8317  0.2347
Fe  0.6634  0.8317  0.7653
Fe  0.6667  0.3333  0.1441
Fe  0.6667  0.3333  0.8559
Fe  0.7022  0.7068  0.5000
Fe  0.7022  0.9954  0.5000
Fe  0.8325  0.1675  0.2512
Fe  0.8325  0.1675  0.7488
Fe  0.8325  0.6651  0.2512
Fe  0.8325  0.6651  0.7488
Fe  0.9637  0.3391  0.0000
Fe  0.9637  0.6246  0.0000

Principal peaks in the range 2θ from 10° to 80°, by angle:
- 2θ = 30.2°, I 41
- 2θ = 36.6°, I 42
- 2θ = 41.0°, I 31
- 2θ = 42.6°, I 60
- 2θ = 42.9°, I 100
- 2θ = 43.9°, I 31
- 2θ = 62.8°, I 17
- 2θ = 77.9°, I 17